This entry pairs a crystal structure of Rb9AgO3 with its computed powder diffractogram. Radiation: Cu Kα X-rays. Structure: a crystal structure in Alexandria, relaxed with GGA-PBE.
No peak broadening, texture or thermal motion is included.

Peak list (6 most intense, 2θ from 10° to 80°, sorted by position)
2θ (°)  I (rel.)
24.81  100
25.63  27
30.05  24
31.14  28
33.77  35
46.59  28

Structural model:
abc: 10.6176 10.6176 5.7436
angles: 90.00 90.00 120.00
Space group P6/mmm (No. 191)
Symmetry-distinct sites (fractional):
Rb1 0.0000 0.5000 0.0000 [3 per cell]
Rb2 0.2014 0.4029 0.5000 [6 per cell]
Ag1 0.0000 0.0000 0.0000 [1 per cell]
O1 0.0000 0.5000 0.5000 [3 per cell]

This entry pairs a crystal structure of Er4MgNiRu2 with its computed powder diffractogram. Radiation: Cu Kα X-rays. Structure: a crystal structure in Alexandria, relaxed with GGA-PBE.
No peak broadening, texture or thermal motion is included.

Peak list (6 most intense, 2θ from 10° to 80°, sorted by position)
2θ (°)  I (rel.)
25.92  34
36.93  96
37.04  100
53.30  33
66.45  14
66.71  51

Structural model:
abc: 4.8536 4.8536 23.8889
angles: 90.00 90.00 120.00
Space group R-3m (No. 166, hexagonal axes)
Symmetry-distinct sites (fractional):
Er1 0.0000 0.0000 0.1188 [6 per cell]
Er2 0.0000 0.0000 0.3704 [6 per cell]
Mg1 0.0000 0.0000 0.5000 [3 per cell]
Ni1 0.0000 0.0000 0.0000 [3 per cell]
Ru1 0.0000 0.0000 0.2480 [6 per cell]

This entry pairs a crystal structure of Rb2CdSiSe4 with its computed powder diffractogram. Radiation: Cu Kα X-rays. Structure: a crystal structure in Alexandria, relaxed with GGA-PBE.
No peak broadening, texture or thermal motion is included.

Peak list (6 most intense, 2θ from 10° to 80°, sorted by position)
2θ (°)  I (rel.)
14.12  44
23.70  46
25.77  51
29.50  100
35.24  34
47.92  37

Structural model:
abc: 6.4220 14.1258 25.0891
angles: 90.00 90.00 90.00
Space group Fddd (No. 70, origin choice 2)
Symmetry-distinct sites (fractional):
Rb1 0.1250 0.1250 0.3078 [16 per cell]
Cd1 0.1250 0.1250 0.1250 [8 per cell]
Si1 0.1250 0.1250 0.6250 [8 per cell]
Se1 0.0823 0.2784 0.8226 [32 per cell]

This entry pairs a crystal structure of Na2In7Ag12 with its computed powder diffractogram. Radiation: Cu Kα X-rays. Structure: a crystal structure in Alexandria, relaxed with GGA-PBE.
No peak broadening, texture or thermal motion is included.

Peak list (6 most intense, 2θ from 10° to 80°, sorted by position)
2θ (°)  I (rel.)
36.42  70
37.25  100
41.72  17
53.09  20
66.64  22
73.34  20

Structural model:
abc: 12.7716 12.7716 3.0553
angles: 90.00 90.00 120.00
Space group P-3 (No. 147)
Symmetry-distinct sites (fractional):
Na1 0.3333 0.6667 0.2396 [2 per cell]
In1 0.0000 0.0000 0.5000 [1 per cell]
In2 0.1397 0.7172 0.7330 [6 per cell]
Ag1 0.0655 0.2412 0.2243 [6 per cell]
Ag2 0.0795 0.4632 0.7518 [6 per cell]

This entry pairs a crystal structure of Y2AgF2 with its computed powder diffractogram. Radiation: Cu Kα X-rays. Structure: a crystal structure in Alexandria, relaxed with GGA-PBE.
No peak broadening, texture or thermal motion is included.

Peak list (6 most intense, 2θ from 10° to 80°, sorted by position)
2θ (°)  I (rel.)
31.36  100
34.55  36
37.07  16
41.31  26
49.67  21
59.92  29

Structural model:
abc: 3.6711 3.6711 13.5991
angles: 90.00 90.00 90.00
Space group I4/mmm (No. 139)
Symmetry-distinct sites (fractional):
Y1 0.0000 0.0000 0.1346 [4 per cell]
Ag1 0.0000 0.0000 0.5000 [2 per cell]
F1 0.0000 0.5000 0.2500 [4 per cell]

Number 1 is which compound? Rb9AgO3